# 1
Theoretical PXRD pattern of RbNaIn2Cl8 for Cu Kα (λ = 1.5418 Å), from DFT lattice parameters and positions (PBE).

Peak list (10 most intense, 10° ≤ 2θ ≤ 90°, sorted by position)
6.474 Å, 2θ = 13.68°, I = 21
5.127 Å, 2θ = 17.30°, I = 100
4.019 Å, 2θ = 22.12°, I = 48
3.619 Å, 2θ = 24.60°, I = 44
3.237 Å, 2θ = 27.55°, I = 18
2.561 Å, 2θ = 35.03°, I = 90
2.381 Å, 2θ = 37.78°, I = 14
2.091 Å, 2θ = 43.27°, I = 33
1.621 Å, 2θ = 56.80°, I = 20
1.281 Å, 2θ = 74.00°, I = 16

Structural model:
a = 8.366 Å, b = 8.366 Å, c = 8.366 Å
α = 104.42°, β = 104.42°, γ = 120.14°
Positions (direct):
Rb1 0.000 0.000 0.000
Na1 0.250 0.750 0.500
In1 0.500 0.500 0.000
In2 0.750 0.250 0.500
Cl1 0.330 0.142 0.812
Cl2 0.330 0.519 0.188
Cl3 0.385 0.060 0.325
Cl4 0.481 0.670 0.812
Cl5 0.735 0.060 0.675
Cl6 0.858 0.670 0.188
Cl7 0.940 0.265 0.325
Cl8 0.940 0.615 0.675

=====

# 2
Theoretical PXRD pattern of NaTiInCl6 for Cu Kα (λ = 1.5418 Å), from DFT lattice parameters and positions (PBE).

Peak list (10 most intense, 10° ≤ 2θ ≤ 90°, sorted by position)
5.973 Å, 2θ = 14.83°, I = 22
4.395 Å, 2θ = 20.20°, I = 100
3.045 Å, 2θ = 29.33°, I = 47
2.987 Å, 2θ = 29.92°, I = 13
2.851 Å, 2θ = 31.37°, I = 14
2.713 Å, 2θ = 33.01°, I = 22
2.363 Å, 2θ = 38.08°, I = 57
2.132 Å, 2θ = 42.39°, I = 34
1.991 Å, 2θ = 45.56°, I = 22
1.605 Å, 2θ = 57.40°, I = 13

Structural model:
a = 6.897 Å, b = 6.897 Å, c = 6.490 Å
α = 90.00°, β = 90.00°, γ = 120.00°
Positions (direct):
Na1 0.000 0.000 0.000
Ti1 0.333 0.667 0.000
In1 0.667 0.333 0.500
Cl1 0.061 0.381 0.212
Cl2 0.061 0.680 0.788
Cl3 0.320 0.381 0.788
Cl4 0.320 0.939 0.212
Cl5 0.619 0.680 0.212
Cl6 0.619 0.939 0.788